Structure and theoretical X-ray diffraction stick pattern of CeCu4Pd3O12 (DFT lattice parameters and positions (GGA-PBE); Cu Kα (weighted mean of Kα1 and Kα2)).
Peak positions follow from Bragg's law for the DFT cell and can differ from measured ones.

Atomic structure:
```
data_CeCu4Pd3O12
_chemical_formula_sum 'Ce1 Cu4 Pd3 O12'
_symmetry_space_group_name_H-M 'P 1'
_symmetry_Int_Tables_number 1
_cell_length_a 6.4832
_cell_length_b 6.4832
_cell_length_c 6.4832
_cell_angle_alpha 109.47
_cell_angle_beta 109.47
_cell_angle_gamma 109.47
loop_
_symmetry_equiv_pos_as_xyz
'x,y,z'
loop_
_atom_site_label
_atom_site_type_symbol
_atom_site_fract_x
_atom_site_fract_y
_atom_site_fract_z
Ce1 Ce 0.0000 0.0000 0.0000
Cu1 Cu 0.0000 0.0000 0.5000
Cu2 Cu 0.0000 0.5000 0.0000
Cu3 Cu 0.5000 0.0000 0.0000
Cu4 Cu 0.5000 0.5000 0.5000
Pd1 Pd 0.0000 0.5000 0.5000
Pd2 Pd 0.5000 0.0000 0.5000
Pd3 Pd 0.5000 0.5000 0.0000
O1 O 0.1211 0.2959 0.8252
O2 O 0.1748 0.4708 0.2959
O3 O 0.1748 0.8789 0.7041
O4 O 0.2959 0.1748 0.4708
O5 O 0.2959 0.8252 0.1211
O6 O 0.4708 0.2959 0.1748
O7 O 0.5292 0.7041 0.8252
O8 O 0.7041 0.1748 0.8789
O9 O 0.7041 0.8252 0.5292
O10 O 0.8252 0.1211 0.2959
O11 O 0.8252 0.5292 0.7041
O12 O 0.8789 0.7041 0.1748
```

Largest 10 diffraction maxima, in order of rising 2θ, 2θ = 10–90°:
d = 3.743 Å, 2θ = 23.77°, I 7; d = 2.647 Å, 2θ = 33.87°, I 100; d = 2.367 Å, 2θ = 38.01°, I 3; d = 2.161 Å, 2θ = 41.80°, I 6; d = 1.872 Å, 2θ = 48.65°, I 25; d = 1.674 Å, 2θ = 54.84°, I 3; d = 1.528 Å, 2θ = 60.60°, I 46; d = 1.323 Å, 2θ = 71.26°, I 13; d = 1.248 Å, 2θ = 76.32°, I 2; d = 1.184 Å, 2θ = 81.28°, I 16